For RbGeP2Pt4, a structure optimized by DFT (GGA-PBE) gives the simulated powder diffraction line list in this record (Cu Kα (weighted mean of Kα1 and Kα2)).

Atomic structure:
a b c (Å): 3.9918 3.9918 10.3722
angles (deg): 90.00 90.00 90.00
Space group P4/mmm (No. 123)
Inequivalent atoms, fractional coordinates:
Rb 0.0000 0.0000 0.0000 x1
Ge 0.0000 0.0000 0.5000 x1
P 0.5000 0.5000 0.2075 x2
Pt 0.0000 0.5000 0.3323 x4

Main lines, by angle (2θ from 10° to 90°):
2θ = 25.77°, d = 3.457 Å, intensity 72, hkl 0 0 3
2θ = 31.70°, d = 2.823 Å, intensity 47, hkl 1 1 0
2θ = 32.89°, d = 2.724 Å, intensity 48, hkl 1 1 1
2θ = 36.23°, d = 2.479 Å, intensity 56, hkl 1 1 2
2θ = 41.29°, d = 2.186 Å, intensity 100, hkl 1 1 3
2θ = 45.44°, d = 1.996 Å, intensity 58, hkl 2 0 0
2θ = 47.62°, d = 1.910 Å, intensity 32, hkl 1 1 4
2θ = 52.97°, d = 1.729 Å, intensity 58, hkl 0 0 6
2θ = 72.31°, d = 1.307 Å, intensity 43, hkl 2 0 6
2θ = 81.11°, d = 1.186 Å, intensity 29, hkl 3 1 3

For Sr2GePPt6, a structure optimized by DFT (GGA-PBE) gives the simulated powder diffraction line list in this record (Cu Kα (weighted mean of Kα1 and Kα2)).

Atomic structure:
a b c (Å): 5.6854 8.7334 8.1614
angles (deg): 90.00 90.00 90.00
Space group Pmmn (No. 59, origin choice 2)
Inequivalent atoms, fractional coordinates:
Sr 0.2500 0.0133 0.2207 x4
Ge 0.2500 0.7500 0.7709 x2
P 0.2500 0.2500 0.7460 x2
Pt 0.0034 0.7500 0.0271 x4
Pt 0.0037 0.7500 0.5014 x4
Pt 0.2500 0.0028 0.6176 x4

Main lines, by angle (2θ from 10° to 90°):
2θ = 10.84°, d = 8.161 Å, intensity 39, hkl 0 0 1
2θ = 21.78°, d = 4.081 Å, intensity 35, hkl 0 0 2
2θ = 29.97°, d = 2.981 Å, intensity 73, hkl 0 2 2
2θ = 33.95°, d = 2.640 Å, intensity 38, hkl 1 2 2
2θ = 37.76°, d = 2.382 Å, intensity 100, hkl 2 2 0
2θ = 38.60°, d = 2.333 Å, intensity 61, hkl 2 0 2
2θ = 41.35°, d = 2.183 Å, intensity 53, hkl 0 4 0
2θ = 44.01°, d = 2.057 Å, intensity 46, hkl 2 2 2
2θ = 49.30°, d = 1.849 Å, intensity 33, hkl 0 2 4
2θ = 57.85°, d = 1.594 Å, intensity 37, hkl 2 4 2

For Sr3GeP2Pt9, a structure optimized by DFT (GGA-PBE) gives the simulated powder diffraction line list in this record (Cu Kα (weighted mean of Kα1 and Kα2)).

Atomic structure:
a b c (Å): 6.4173 6.4173 8.7459
angles (deg): 90.00 90.00 120.00
Space group P-3m1 (No. 164)
Inequivalent atoms, fractional coordinates:
Sr 0.0000 0.0000 0.0000 x1
Sr 0.3333 0.6667 0.6412 x2
Ge 0.0000 0.0000 0.5000 x1
P 0.3333 0.6667 0.1792 x2
Pt 0.0000 0.5000 0.0000 x3
Pt 0.1470 0.2940 0.2846 x6

Main lines, by angle (2θ from 10° to 90°):
2θ = 18.92°, d = 4.691 Å, intensity 20, hkl 1 0 1
2θ = 25.93°, d = 3.437 Å, intensity 14, hkl 1 0 2
2θ = 30.67°, d = 2.915 Å, intensity 27, hkl 0 0 3
2θ = 33.85°, d = 2.648 Å, intensity 100, hkl 0 2 1
2θ = 38.38°, d = 2.345 Å, intensity 90, hkl 2 0 2
2θ = 45.07°, d = 2.011 Å, intensity 15, hkl 2 0 3
2θ = 53.31°, d = 1.718 Å, intensity 17, hkl 0 2 4
2θ = 53.78°, d = 1.705 Å, intensity 14, hkl 1 2 3
2θ = 57.44°, d = 1.604 Å, intensity 27, hkl 2 2 0
2θ = 66.53°, d = 1.406 Å, intensity 15, hkl 2 2 3

For TbGe2P2Pt7, a structure optimized by DFT (GGA-PBE) gives the simulated powder diffraction line list in this record (Cu Kα (weighted mean of Kα1 and Kα2)).

Atomic structure:
a b c (Å): 5.5432 5.4950 15.1414
angles (deg): 90.00 100.25 90.00
Space group C2/m (No. 12)
Inequivalent atoms, fractional coordinates:
Tb 0.0000 0.0000 0.0000 x2
Ge 0.2417 0.0000 0.4314 x4
P 0.1171 0.5000 0.2418 x4
Pt 0.0000 0.5000 0.0000 x2
Pt 0.1765 0.2499 0.8484 x8
Pt 0.1817 0.5000 0.3968 x4

Main lines, by angle (2θ from 10° to 90°):
2θ = 23.89°, d = 3.725 Å, intensity 29, hkl 0 0 4
2θ = 29.99°, d = 2.980 Å, intensity 44, hkl 0 0 5
2θ = 34.80°, d = 2.578 Å, intensity 43, hkl 0 2 2
2θ = 37.06°, d = 2.426 Å, intensity 47, hkl 2 0 2
2θ = 37.23°, d = 2.415 Å, intensity 43, hkl 2 0 -4
2θ = 37.41°, d = 2.404 Å, intensity 89, hkl 0 2 3
2θ = 42.47°, d = 2.129 Å, intensity 36, hkl 0 0 7
2θ = 44.84°, d = 2.021 Å, intensity 37, hkl 2 0 -6
2θ = 46.54°, d = 1.951 Å, intensity 100, hkl 2 2 -1
2θ = 72.12°, d = 1.310 Å, intensity 31, hkl 2 0 -11

For PuGe6P8, a structure optimized by DFT (GGA-PBE) gives the simulated powder diffraction line list in this record (Cu Kα (weighted mean of Kα1 and Kα2)).

Atomic structure:
a b c (Å): 10.0168 10.0168 10.5294
angles (deg): 90.00 90.00 120.00
Space group R-3 (No. 148, hexagonal axes)
Inequivalent atoms, fractional coordinates:
Pu 0.0000 0.0000 0.0000 x3
Ge 0.0256 0.7808 0.6324 x18
P 0.0000 0.0000 0.2800 x6
P 0.0512 0.6153 0.7829 x18

Main lines, by angle (2θ from 10° to 90°):
2θ = 13.22°, d = 6.695 Å, intensity 31, hkl 1 0 1
2θ = 19.73°, d = 4.501 Å, intensity 28, hkl 0 1 2
2θ = 22.17°, d = 4.010 Å, intensity 32, hkl 0 2 1
2θ = 25.38°, d = 3.510 Å, intensity 33, hkl 0 0 3
2θ = 28.51°, d = 3.130 Å, intensity 73, hkl 3 -1 1
2θ = 30.92°, d = 2.892 Å, intensity 33, hkl 3 0 0
2θ = 32.16°, d = 2.783 Å, intensity 100, hkl 1 2 2
2θ = 44.12°, d = 2.053 Å, intensity 44, hkl 3 -1 4
2θ = 48.06°, d = 1.893 Å, intensity 45, hkl 4 1 0
2θ = 55.12°, d = 1.666 Å, intensity 33, hkl 4 1 3

For Pu2GeP3Rh4, a structure optimized by DFT (GGA-PBE) gives the simulated powder diffraction line list in this record (Cu Kα (weighted mean of Kα1 and Kα2)).

Atomic structure:
a b c (Å): 4.1039 4.1039 9.9098
angles (deg): 90.00 90.00 90.00
Space group P-4m2 (No. 115)
Inequivalent atoms, fractional coordinates:
Pu 0.0000 0.5000 0.2471 x2
Ge 0.5000 0.5000 0.0000 x1
P 0.0000 0.0000 0.0000 x1
P 0.0000 0.5000 0.6355 x2
Rh 0.0000 0.0000 0.5000 x1
Rh 0.0000 0.5000 0.8705 x2
Rh 0.5000 0.5000 0.5000 x1

Main lines, by angle (2θ from 10° to 90°):
2θ = 23.46°, d = 3.792 Å, intensity 31, hkl 1 0 1
2θ = 30.81°, d = 2.902 Å, intensity 20, hkl 1 1 0
2θ = 34.87°, d = 2.573 Å, intensity 68, hkl 1 0 3
2θ = 35.86°, d = 2.504 Å, intensity 100, hkl 1 1 2
2θ = 44.14°, d = 2.052 Å, intensity 48, hkl 2 0 0
2θ = 51.18°, d = 1.785 Å, intensity 27, hkl 1 0 5
2θ = 57.44°, d = 1.604 Å, intensity 33, hkl 2 1 3
2θ = 64.19°, d = 1.451 Å, intensity 16, hkl 2 2 0
2θ = 69.85°, d = 1.347 Å, intensity 21, hkl 2 1 5
2θ = 75.77°, d = 1.255 Å, intensity 23, hkl 3 1 2

For RbGeP3, a structure optimized by DFT (GGA-PBE) gives the simulated powder diffraction line list in this record (Cu Kα (weighted mean of Kα1 and Kα2)).

Atomic structure:
a b c (Å): 7.8997 7.8997 18.3052
angles (deg): 90.00 90.00 120.00
Space group R3c (No. 161, hexagonal axes)
Inequivalent atoms, fractional coordinates:
Rb 0.0000 0.0000 0.0000 x6
Ge 0.0000 0.0000 0.2955 x6
P 0.1751 0.0291 0.1846 x18

Main lines, by angle (2θ from 10° to 90°):
2θ = 22.51°, d = 3.950 Å, intensity 100, hkl 1 1 0
2θ = 23.39°, d = 3.804 Å, intensity 34, hkl 1 0 4
2θ = 29.27°, d = 3.051 Å, intensity 15, hkl 0 0 6
2θ = 32.68°, d = 2.740 Å, intensity 26, hkl 0 2 4
2θ = 37.24°, d = 2.414 Å, intensity 27, hkl 1 1 6
2θ = 39.52°, d = 2.280 Å, intensity 12, hkl 3 0 0
2θ = 40.05°, d = 2.251 Å, intensity 27, hkl 2 1 4
2θ = 51.69°, d = 1.768 Å, intensity 13, hkl 1 0 10
2θ = 52.19°, d = 1.753 Å, intensity 19, hkl 1 3 4
2θ = 62.16°, d = 1.493 Å, intensity 16, hkl 4 1 0

For Rb5GeP3, a structure optimized by DFT (GGA-PBE) gives the simulated powder diffraction line list in this record (Cu Kα (weighted mean of Kα1 and Kα2)).

Atomic structure:
a b c (Å): 15.7112 5.4867 14.9722
angles (deg): 90.00 90.00 90.00
Space group Pnma (No. 62)
Inequivalent atoms, fractional coordinates:
Rb 0.0158 0.2500 0.1196 x4
Rb 0.0673 0.2500 0.4278 x4
Rb 0.0843 0.2500 0.6840 x4
Rb 0.1957 0.7500 0.0595 x4
Rb 0.2340 0.7500 0.7700 x4
Ge 0.2194 0.7500 0.4186 x4
P 0.1337 0.2500 0.9108 x4
P 0.1365 0.7500 0.2918 x4
P 0.1550 0.7500 0.5555 x4

Main lines, by angle (2θ from 10° to 90°):
2θ = 26.37°, d = 3.380 Å, intensity 20, hkl 2 0 4
2θ = 26.68°, d = 3.341 Å, intensity 100, hkl 2 1 3
2θ = 27.94°, d = 3.194 Å, intensity 60, hkl 4 1 0
2θ = 28.58°, d = 3.124 Å, intensity 23, hkl 4 1 1
2θ = 29.33°, d = 3.045 Å, intensity 12, hkl 3 0 4
2θ = 29.44°, d = 3.034 Å, intensity 31, hkl 1 1 4
2θ = 32.64°, d = 2.743 Å, intensity 47, hkl 0 2 0
2θ = 38.84°, d = 2.319 Å, intensity 17, hkl 6 0 3
2θ = 51.61°, d = 1.771 Å, intensity 15, hkl 6 2 3
2θ = 54.72°, d = 1.678 Å, intensity 16, hkl 2 3 3

For Ge2PRh, a structure optimized by DFT (GGA-PBE) gives the simulated powder diffraction line list in this record (Cu Kα (weighted mean of Kα1 and Kα2)).

Atomic structure:
a b c (Å): 5.7378 5.7378 10.2117
angles (deg): 90.00 90.00 90.00
Space group I-42d (No. 122)
Inequivalent atoms, fractional coordinates:
Ge 0.2480 0.2500 0.1250 x8
P 0.0000 0.0000 0.5000 x4
Rh 0.0000 0.0000 0.0000 x4

Main lines, by angle (2θ from 10° to 90°):
2θ = 17.73°, d = 5.002 Å, intensity 20, hkl 1 0 1
2θ = 28.09°, d = 3.176 Å, intensity 100, hkl 1 1 2
2θ = 44.67°, d = 2.029 Å, intensity 27, hkl 2 2 0
2θ = 47.68°, d = 1.907 Å, intensity 45, hkl 2 0 4
2θ = 53.60°, d = 1.710 Å, intensity 32, hkl 3 1 2
2θ = 58.84°, d = 1.569 Å, intensity 12, hkl 1 1 6
2θ = 65.02°, d = 1.434 Å, intensity 9, hkl 4 0 0
2θ = 76.78°, d = 1.241 Å, intensity 11, hkl 3 1 6
2θ = 84.52°, d = 1.146 Å, intensity 17, hkl 4 2 4
2θ = 89.10°, d = 1.099 Å, intensity 8, hkl 5 1 2

For Tm3GeP2Rh8, a structure optimized by DFT (GGA-PBE) gives the simulated powder diffraction line list in this record (Cu Kα (weighted mean of Kα1 and Kα2)).

Atomic structure:
a b c (Å): 5.4018 5.4018 9.2422
angles (deg): 90.00 90.00 120.00
Space group P-3m1 (No. 164)
Inequivalent atoms, fractional coordinates:
Tm 0.0000 0.0000 0.0000 x1
Tm 0.3333 0.6667 0.5624 x2
Ge 0.0000 0.0000 0.5000 x1
P 0.3333 0.6667 0.0985 x2
Rh 0.1649 0.3299 0.2779 x6
Rh 0.3333 0.6667 0.8608 x2

Main lines, by angle (2θ from 10° to 90°):
2θ = 33.17°, d = 2.701 Å, intensity 54, hkl 1 1 0
2θ = 34.87°, d = 2.573 Å, intensity 72, hkl 1 0 3
2θ = 38.61°, d = 2.332 Å, intensity 76, hkl 1 1 2
2θ = 39.75°, d = 2.268 Å, intensity 100, hkl 0 2 1
2θ = 43.36°, d = 2.087 Å, intensity 32, hkl 2 0 2
2θ = 43.69°, d = 2.072 Å, intensity 56, hkl 0 1 4
2θ = 60.36°, d = 1.534 Å, intensity 30, hkl 2 1 3
2θ = 66.60°, d = 1.404 Å, intensity 31, hkl 1 2 4
2θ = 69.62°, d = 1.350 Å, intensity 33, hkl 2 2 0
2θ = 73.63°, d = 1.286 Å, intensity 23, hkl 2 0 6

For ZnGePRh, a structure optimized by DFT (GGA-PBE) gives the simulated powder diffraction line list in this record (Cu Kα (weighted mean of Kα1 and Kα2)).

Atomic structure:
a b c (Å): 3.2646 3.2646 7.5051
angles (deg): 90.00 90.00 120.00
Space group P3m1 (No. 156)
Inequivalent atoms, fractional coordinates:
Zn 0.0000 0.0000 0.0000 x1
Ge 0.6667 0.3333 0.7575 x1
P 0.0000 0.0000 0.3133 x1
Rh 0.3333 0.6667 0.4821 x1

Main lines, by angle (2θ from 10° to 90°):
2θ = 11.79°, d = 7.505 Å, intensity 21, hkl 0 0 1
2θ = 23.71°, d = 3.753 Å, intensity 12, hkl 0 0 2
2θ = 33.88°, d = 2.646 Å, intensity 100, hkl 0 1 1
2θ = 39.92°, d = 2.258 Å, intensity 53, hkl 0 1 2
2θ = 48.58°, d = 1.874 Å, intensity 52, hkl 0 0 4
2θ = 56.37°, d = 1.632 Å, intensity 29, hkl 1 1 0
2θ = 67.41°, d = 1.389 Å, intensity 13, hkl 2 0 1
2θ = 71.11°, d = 1.326 Å, intensity 10, hkl 0 1 5
2θ = 71.29°, d = 1.323 Å, intensity 9, hkl 2 0 2
2θ = 77.53°, d = 1.231 Å, intensity 26, hkl 1 1 4

For ZnGePRh, a structure optimized by DFT (GGA-PBE) gives the simulated powder diffraction line list in this record (Cu Kα (weighted mean of Kα1 and Kα2)).

Atomic structure:
a b c (Å): 3.7691 4.6578 4.6588
angles (deg): 117.41 90.53 110.99
Space group P1 (No. 1)
Inequivalent atoms, fractional coordinates:
Zn 0.0000 0.0000 0.0000 x1
Ge 0.3562 0.7940 0.4022 x1
P 0.5890 0.4058 0.9319 x1
Rh 0.7072 0.4072 0.4353 x1

Main lines, by angle (2θ from 10° to 90°):
2θ = 21.98°, d = 4.043 Å, intensity 56, hkl 0 0 1
2θ = 22.89°, d = 3.884 Å, intensity 50, hkl 0 1 -1
2θ = 30.37°, d = 2.943 Å, intensity 46, hkl 1 0 -1
2θ = 30.72°, d = 2.910 Å, intensity 100, hkl 1 -1 1
2θ = 39.03°, d = 2.307 Å, intensity 49, hkl -1 1 1
2θ = 42.15°, d = 2.144 Å, intensity 79, hkl 1 1 0
2θ = 44.33°, d = 2.044 Å, intensity 58, hkl 1 -2 0
2θ = 44.83°, d = 2.022 Å, intensity 63, hkl 0 0 2
2θ = 46.77°, d = 1.942 Å, intensity 52, hkl 0 2 -2
2θ = 48.36°, d = 1.882 Å, intensity 50, hkl 2 -1 0